For Cs2HfClF6, a structure optimized by DFT (GGA-PBE) gives the theoretical powder X-ray diffraction pattern in this record (Cu Kα, 1.54184 Å).
Intensities are scaled so that the largest is 100.

Principal peaks in the range 10 to 80 degrees two-theta, in order of rising 2θ:
hkl, Position (°2θ), I (rel.)
1 0 1, 15.55, 46
1 1 2, 25.27, 100
2 0 0, 26.02, 46
0 0 4, 34.92, 17
2 2 0, 37.13, 29
2 0 4, 44.06, 19
3 1 2, 45.44, 37
2 2 4, 51.89, 19
1 1 6, 57.03, 12
3 1 6, 70.04, 13

Structure:
```
data_Cs2HfClF6
_cell_length_a 6.849
_cell_length_b 6.849
_cell_length_c 10.277
_cell_angle_alpha 90.00
_cell_angle_beta 90.00
_cell_angle_gamma 90.00
_space_group_name_H-M_alt 'I 4/m m m'
_space_group_IT_number 139
_space_group_name_Hall '-I 4 2'
loop_
_atom_site_label
_atom_site_type_symbol
_atom_site_fract_x
_atom_site_fract_y
_atom_site_fract_z
Cs1 Cs 0.000 0.500 0.250
Hf1 Hf 0.000 0.000 0.000
Cl1 Cl 0.000 0.000 0.500
F1 F 0.000 0.000 0.195
F2 F 0.207 0.207 0.000
```